Structure and computed XRD peak list of Pr7Ho12Sc (a GGA-PBE-relaxed structure; Cu Kα (λ = 1.5418 Å)).

The 12 most intense peaks (2θ = 10–90°), sorted by position:
2θ (°)	I/Imax
22.13	10
28.74	14
30.72	36
31.69	100
32.49	17
33.10	30
36.37	9
38.35	9
50.53	15
52.74	9
55.17	11
58.83	15

Atomic structure:
abc: 8.7766 8.7766 8.7766
angles: 85.77 85.77 85.77
Positions (direct):
Pr  0.0000  0.0000  0.0000
Pr  0.1008  0.3457  0.4138
Pr  0.3457  0.4138  0.1008
Pr  0.4138  0.1008  0.3457
Pr  0.5862  0.8992  0.6543
Pr  0.6543  0.5862  0.8992
Pr  0.8992  0.6543  0.5862
Ho  0.0006  0.3624  0.8873
Ho  0.1127  0.9994  0.6376
Ho  0.2336  0.7428  0.3570
Ho  0.2572  0.6430  0.7664
Ho  0.3570  0.2336  0.7428
Ho  0.3624  0.8873  0.0006
Ho  0.6376  0.1127  0.9994
Ho  0.6430  0.7664  0.2572
Ho  0.7428  0.3570  0.2336
Ho  0.7664  0.2572  0.6430
Ho  0.8873  0.0006  0.3624
Ho  0.9994  0.6376  0.1127
Sc  0.5000  0.5000  0.5000